[1]
Calculated powder diffractogram
Compound: PuS4
Radiation: Cu Kα, 1.54184 Å
Structure: a PBE-relaxed structure

Structural model:
a = 3.8768 Å, b = 4.0194 Å, c = 11.9615 Å
α = 80.36°, β = 89.06°, γ = 61.19°
Sites, in units of the cell vectors:
Pu  0.0000  0.0000  0.0000
S  0.2987  0.4147  0.8838
S  0.3012  0.4709  0.5451
S  0.6988  0.5291  0.4549
S  0.7013  0.5853  0.1162

Largest 8 diffraction maxima, sorted by position, 2θ = 10–80°:
d = 5.880 Å, intensity 100.0
d = 3.499 Å, intensity 25.5
d = 3.382 Å, intensity 25.8
d = 3.193 Å, intensity 23.1
d = 3.164 Å, intensity 31.8
d = 2.867 Å, intensity 23.4
d = 2.474 Å, intensity 25.0
d = 2.437 Å, intensity 14.1

[2]
Calculated powder diffractogram
Compound: PuS2
Radiation: Cu Kα, 1.54184 Å
Structure: a PBE-relaxed structure

Structural model:
a = 3.9229 Å, b = 3.9229 Å, c = 7.7092 Å
α = 90.00°, β = 90.00°, γ = 90.00°
Sites, in units of the cell vectors:
Pu  0.2500  0.2500  0.2298
Pu  0.7500  0.7500  0.7702
S  0.2500  0.2500  0.8605
S  0.2500  0.7500  0.5000
S  0.7500  0.2500  0.5000
S  0.7500  0.7500  0.1395

Largest 8 diffraction maxima, sorted by position, 2θ = 10–80°:
d = 3.855 Å, intensity 29.3
d = 3.496 Å, intensity 100.0
d = 2.774 Å, intensity 36.1
d = 2.252 Å, intensity 51.9
d = 2.150 Å, intensity 35.3
d = 1.961 Å, intensity 21.8
d = 1.711 Å, intensity 28.6
d = 1.449 Å, intensity 20.6

[3]
Calculated powder diffractogram
Compound: Pu3S4
Radiation: Cu Kα, 1.54184 Å
Structure: a PBE-relaxed structure

Structural model:
a = 7.2342 Å, b = 7.2342 Å, c = 7.2342 Å
α = 109.47°, β = 109.47°, γ = 109.47°
Sites, in units of the cell vectors:
Pu  0.1250  0.7500  0.8750
Pu  0.2500  0.6250  0.3750
Pu  0.3750  0.2500  0.6250
Pu  0.6250  0.3750  0.2500
Pu  0.7500  0.8750  0.1250
Pu  0.8750  0.1250  0.7500
S  0.0000  0.3527  0.5000
S  0.0000  0.8527  0.5000
S  0.1473  0.1473  0.1473
S  0.3527  0.5000  0.0000
S  0.5000  0.0000  0.3527
S  0.5000  0.0000  0.8527
S  0.6473  0.6473  0.6473
S  0.8527  0.5000  0.0000

Largest 8 diffraction maxima, sorted by position, 2θ = 10–80°:
d = 3.410 Å, intensity 100.0
d = 2.642 Å, intensity 64.9
d = 2.233 Å, intensity 40.0
d = 1.868 Å, intensity 33.9
d = 1.781 Å, intensity 22.0
d = 1.638 Å, intensity 28.7
d = 1.355 Å, intensity 29.9
d = 1.289 Å, intensity 11.6

[4]
Calculated powder diffractogram
Compound: PuScTe2S
Radiation: Cu Kα, 1.54184 Å
Structure: a PBE-relaxed structure

Structural model:
a = 4.2811 Å, b = 4.2811 Å, c = 14.8847 Å
α = 90.00°, β = 90.00°, γ = 90.00°
Sites, in units of the cell vectors:
Pu  0.2500  0.2500  0.1103
Pu  0.7500  0.7500  0.8897
Sc  0.2500  0.2500  0.6010
Sc  0.7500  0.7500  0.3990
Te  0.2500  0.2500  0.4012
Te  0.2500  0.2500  0.7912
Te  0.7500  0.7500  0.2088
Te  0.7500  0.7500  0.5988
S  0.2500  0.7500  0.0000
S  0.7500  0.2500  0.0000

Largest 8 diffraction maxima, sorted by position, 2θ = 10–80°:
d = 3.718 Å, intensity 25.7
d = 3.241 Å, intensity 100.0
d = 3.027 Å, intensity 75.2
d = 2.348 Å, intensity 32.0
d = 2.146 Å, intensity 18.9
d = 2.141 Å, intensity 36.6
d = 1.786 Å, intensity 37.5
d = 1.515 Å, intensity 24.8

[5]
Calculated powder diffractogram
Compound: Pu4SeS6
Radiation: Cu Kα, 1.54184 Å
Structure: a PBE-relaxed structure

Structural model:
a = 8.3716 Å, b = 8.3716 Å, c = 3.8491 Å
α = 90.00°, β = 90.00°, γ = 120.00°
Sites, in units of the cell vectors:
Pu  0.0000  0.0000  0.0000
Pu  0.0099  0.5049  0.5000
Pu  0.4951  0.5049  0.5000
Pu  0.4951  0.9901  0.5000
Se  0.6667  0.3333  0.0000
S  0.2083  0.4165  0.0000
S  0.2083  0.7917  0.0000
S  0.2690  0.1345  0.5000
S  0.5835  0.7917  0.0000
S  0.8655  0.1345  0.5000
S  0.8655  0.7310  0.5000

Largest 8 diffraction maxima, sorted by position, 2θ = 10–80°:
d = 3.625 Å, intensity 100.0
d = 3.400 Å, intensity 36.6
d = 2.833 Å, intensity 50.4
d = 2.639 Å, intensity 40.5
d = 2.232 Å, intensity 44.1
d = 2.093 Å, intensity 42.3
d = 1.700 Å, intensity 25.6
d = 1.417 Å, intensity 24.6

[6]
Calculated powder diffractogram
Compound: SmPuSeS
Radiation: Cu Kα, 1.54184 Å
Structure: a PBE-relaxed structure

Structural model:
a = 7.1189 Å, b = 7.1189 Å, c = 7.1189 Å
α = 33.04°, β = 33.04°, γ = 33.04°
Sites, in units of the cell vectors:
Sm  0.0000  0.0000  0.0000
Pu  0.5109  0.5109  0.5109
Se  0.7565  0.7565  0.7565
S  0.2538  0.2538  0.2538

Largest 8 diffraction maxima, sorted by position, 2θ = 10–80°:
d = 3.362 Å, intensity 13.8
d = 3.311 Å, intensity 42.0
d = 2.879 Å, intensity 100.0
d = 2.047 Å, intensity 36.3
d = 2.024 Å, intensity 37.1
d = 1.656 Å, intensity 19.5
d = 1.293 Å, intensity 15.3
d = 1.282 Å, intensity 16.7

Please write out number 3 again, unchanged.
Calculated powder diffractogram
Compound: Pu3S4
Radiation: Cu Kα, 1.54184 Å
Structure: a PBE-relaxed structure

Structural model:
a = 7.2342 Å, b = 7.2342 Å, c = 7.2342 Å
α = 109.47°, β = 109.47°, γ = 109.47°
Sites, in units of the cell vectors:
Pu  0.1250  0.7500  0.8750
Pu  0.2500  0.6250  0.3750
Pu  0.3750  0.2500  0.6250
Pu  0.6250  0.3750  0.2500
Pu  0.7500  0.8750  0.1250
Pu  0.8750  0.1250  0.7500
S  0.0000  0.3527  0.5000
S  0.0000  0.8527  0.5000
S  0.1473  0.1473  0.1473
S  0.3527  0.5000  0.0000
S  0.5000  0.0000  0.3527
S  0.5000  0.0000  0.8527
S  0.6473  0.6473  0.6473
S  0.8527  0.5000  0.0000

Largest 8 diffraction maxima, sorted by position, 2θ = 10–80°:
d = 3.410 Å, intensity 100.0
d = 2.642 Å, intensity 64.9
d = 2.233 Å, intensity 40.0
d = 1.868 Å, intensity 33.9
d = 1.781 Å, intensity 22.0
d = 1.638 Å, intensity 28.7
d = 1.355 Å, intensity 29.9
d = 1.289 Å, intensity 11.6